[1]
The following is a simulated PXRD pattern of Li6Mn3CoO10. It was derived from a crystal structure in Alexandria, relaxed with PBE+U, using λ = 1.5418 Å (Cu Kα).
Kinematic intensities with the Lorentz-polarization factor, no thermal factor.

Atomic structure:
Lattice parameters (Å, degrees): 5.143 5.913 6.558 103.87 96.42 108.97
Space group P1 (No. 1)
Unique sites:
Li  0.000  0.000  0.000 x1
Li  0.016  0.490  0.000 x1
Li  0.200  0.902  0.397 x1
Li  0.396  0.295  0.803 x1
Li  0.608  0.709  0.188 x1
Li  0.817  0.095  0.605 x1
Mn  0.198  0.393  0.394 x1
Mn  0.406  0.803  0.798 x1
Mn  0.804  0.602  0.604 x1
Co  0.590  0.190  0.189 x1
O  0.110  0.920  0.701 x1
O  0.122  0.460  0.691 x1
O  0.311  0.356  0.127 x1
O  0.325  0.856  0.081 x1
O  0.479  0.741  0.508 x1
O  0.490  0.274  0.486 x1
O  0.674  0.131  0.890 x1
O  0.679  0.662  0.876 x1
O  0.909  0.525  0.310 x1
O  0.912  0.075  0.308 x1

Principal peaks in the range 2θ from 5° to 70°, by intensity:
2θ/deg, Rel. int., hkl
18.43, 100, 0 1 -1
42.42, 32, 2 -2 1
43.82, 30, 1 0 -3
44.52, 28, 1 2 0
35.25, 14, 2 -1 0
36.03, 13, -1 1 2
36.51, 12, 1 1 1
62.69, 9, -3 2 2
62.57, 8, 1 -2 4
63.42, 8, 3 0 1

[2]
The following is a simulated PXRD pattern of Li4MnCo2O7. It was derived from a crystal structure in Alexandria, relaxed with PBE+U, using λ = 1.5418 Å (Cu Kα).
Kinematic intensities with the Lorentz-polarization factor, no thermal factor.

Atomic structure:
Lattice parameters (Å, degrees): 4.978 5.163 10.155 98.91 99.65 100.62
Space group P1 (No. 1)
Unique sites:
Li  0.000  0.000  0.000 x1
Li  0.014  0.007  0.515 x1
Li  0.141  0.270  0.804 x1
Li  0.277  0.554  0.058 x1
Li  0.436  0.866  0.361 x1
Li  0.586  0.140  0.660 x1
Li  0.716  0.451  0.935 x1
Li  0.861  0.724  0.206 x1
Mn  0.153  0.295  0.292 x1
Mn  0.728  0.435  0.438 x1
Co  0.312  0.576  0.594 x1
Co  0.425  0.862  0.865 x1
Co  0.570  0.140  0.136 x1
Co  0.863  0.708  0.721 x1
O  0.079  0.618  0.407 x1
O  0.083  0.651  0.883 x1
O  0.211  0.905  0.690 x1
O  0.230  0.980  0.197 x1
O  0.376  0.237  0.463 x1
O  0.380  0.215  0.972 x1
O  0.506  0.497  0.272 x1
O  0.518  0.496  0.746 x1
O  0.621  0.807  0.037 x1
O  0.664  0.760  0.542 x1
O  0.773  0.018  0.818 x1
O  0.812  0.113  0.336 x1
O  0.927  0.380  0.608 x1
O  0.938  0.364  0.133 x1

Principal peaks in the range 2θ from 5° to 70°, by intensity:
2θ/deg, Rel. int., hkl
18.36, 100, 0 1 -1
42.82, 29, -1 2 2
43.84, 27, 1 -1 4
44.59, 26, 2 1 -2
35.54, 14, -1 1 3
63.09, 14, 1 3 0
36.77, 13, 2 0 -1
36.21, 12, 1 0 3
9.00, 10, 0 0 1
47.72, 8, 1 2 1